The following is a computed PXRD pattern of CaFeMoO6. It was derived from DFT lattice parameters and positions (GGA+U), using Cu Kα X-rays.

Cell and atoms:
Lattice parameters (Å, degrees): 5.3740 5.6448 9.3862 90.00 124.82 90.00
Positions (direct):
Ca 0.0000 0.1782 0.0000
Ca 0.0000 0.8218 0.5000
Fe 0.7555 0.2534 0.2481
Fe 0.7555 0.7466 0.7481
Mo 0.2628 0.2834 0.7491
Mo 0.2628 0.7166 0.2491
O 0.0207 0.4562 0.2062
O 0.0207 0.5438 0.7062
O 0.0603 0.2374 0.5040
O 0.0603 0.7626 0.0040
O 0.4259 0.2646 0.9920
O 0.4259 0.7354 0.4920
O 0.4949 0.0198 0.2689
O 0.4949 0.9802 0.7689
O 0.5971 0.4475 0.7902
O 0.5971 0.5525 0.2902
O 0.9641 0.0318 0.7290
O 0.9641 0.9682 0.2290

Principal peaks in the range 2θ from 10° to 90°, in order of rising 2θ:
19.5 deg, I = 23, (0 1 1); 20.1 deg, I = 25, (1 0 -2); 22.8 deg, I = 100, (1 1 -1); 23.1 deg, I = 48, (0 0 2); 31.7 deg, I = 22, (0 2 0); 32.7 deg, I = 94, (1 1 1); 33.3 deg, I = 24, (2 0 -2); 46.7 deg, I = 39, (2 2 -2); 47.2 deg, I = 23, (0 0 4); 52.7 deg, I = 19, (2 2 0)